(1)
SbIO2F8: calculated powder diffractogram (CuKα), based on a cell relaxed with PBE.
Lines closer than 0.1° are merged.

Atomic structure:
```
data_SbIO2F8
_cell_length_a 5.9034
_cell_length_b 10.2487
_cell_length_c 12.9560
_cell_angle_alpha 90.00
_cell_angle_beta 102.55
_cell_angle_gamma 90.00
_space_group_name_H-M_alt 'P 1 21/c 1'
_space_group_IT_number 14
loop_
_space_group_symop_operation_xyz
'x,y,z'
'-x,-y,-z'
'-x,y+1/2,-z+1/2'
'x,-y+1/2,z+1/2'
loop_
_atom_site_label
_atom_site_fract_x
_atom_site_fract_y
_atom_site_fract_z
Sb1 0.0023 0.2485 0.4906
I1 0.2734 0.0089 0.1814
O1 0.0946 0.1536 0.1354
O2 0.2005 0.5849 0.5577
F1 0.0398 0.5622 0.7398
F2 0.1101 0.6720 0.1437
F3 0.1889 0.1059 0.5494
F4 0.2524 0.6937 0.9532
F5 0.2525 0.1677 0.9466
F6 0.3712 0.0941 0.3099
F7 0.4623 0.5752 0.3557
F8 0.4628 0.6255 0.7475
```

Main lines, sorted by position (2θ from 10° to 80°):
- 2θ 11.1, d 7.962, intensity 336, hkl 0 1 1
- 2θ 15.4, d 5.762, intensity 278, hkl 1 0 0
- 2θ 17.7, d 5.005, intensity 413, hkl 1 1 -1
- 2θ 18.4, d 4.811, intensity 941, hkl 1 0 -2
- 2θ 20.2, d 4.392, intensity 483, hkl 1 1 1
- 2θ 22.3, d 3.981, intensity 1000, hkl 0 2 2
- 2θ 22.8, d 3.899, intensity 292, hkl 0 1 3
- 2θ 23.2, d 3.829, intensity 388, hkl 1 2 0
- 2θ 29.0, d 3.084, intensity 424, hkl 1 2 2
- 2θ 35.8, d 2.511, intensity 236, hkl 2 2 0

***

(2)
Pb5I2F8: calculated powder diffractogram (CuKα), based on a cell relaxed with PBE.
Lines closer than 0.1° are merged.

Atomic structure:
```
data_Pb5I2F8
_cell_length_a 4.3393
_cell_length_b 4.3393
_cell_length_c 58.3937
_cell_angle_alpha 90.00
_cell_angle_beta 90.00
_cell_angle_gamma 120.00
_space_group_name_H-M_alt 'R 3 m'
_space_group_IT_number 160
_space_group_name_Hall 'R 3 -2"'
loop_
_atom_site_label
_atom_site_fract_x
_atom_site_fract_y
_atom_site_fract_z
Pb1 0.0000 0.0000 0.0000
Pb2 0.0000 0.0000 0.0862
Pb3 0.0000 0.0000 0.5288
Pb4 0.0000 0.0000 0.6173
Pb5 0.0000 0.0000 0.8127
I1 0.0000 0.0000 0.2459
I2 0.0000 0.0000 0.3818
F1 0.0000 0.0000 0.1263
F2 0.0000 0.0000 0.1768
F3 0.0000 0.0000 0.3131
F4 0.0000 0.0000 0.4870
F5 0.0000 0.0000 0.6660
F6 0.0000 0.0000 0.7644
F7 0.0000 0.0000 0.8594
F8 0.0000 0.0000 0.9585
```

Main lines, sorted by position (2θ from 10° to 80°):
- 2θ 24.5, d 3.639, intensity 415, hkl 1 0 4
- 2θ 24.9, d 3.577, intensity 226, hkl 0 1 5
- 2θ 26.0, d 3.426, intensity 551, hkl 1 0 7
- 2θ 28.2, d 3.160, intensity 292, hkl 1 0 10
- 2θ 29.1, d 3.067, intensity 703, hkl 0 1 11
- 2θ 31.0, d 2.882, intensity 430, hkl 1 0 13
- 2θ 32.1, d 2.792, intensity 320, hkl 0 1 14
- 2θ 32.2, d 2.781, intensity 333, hkl 0 0 21
- 2θ 41.6, d 2.169, intensity 1000, hkl 1 1 0
- 2θ 53.6, d 1.711, intensity 554, hkl 1 1 21

***

(3)
Pb4IF7: calculated powder diffractogram (CuKα), based on a cell relaxed with PBE.
Lines closer than 0.1° are merged.

Atomic structure:
```
data_Pb4IF7
_cell_length_a 6.1663
_cell_length_b 25.4317
_cell_length_c 6.0789
_cell_angle_alpha 90.00
_cell_angle_beta 90.00
_cell_angle_gamma 90.00
_space_group_name_H-M_alt 'C m c m'
_space_group_IT_number 63
_space_group_name_Hall '-C 2c 2'
loop_
_atom_site_label
_atom_site_fract_x
_atom_site_fract_y
_atom_site_fract_z
Pb1 0.0000 0.0470 0.2500
Pb2 0.0000 0.1526 0.7500
Pb3 0.0000 0.3253 0.7500
Pb4 0.0000 0.4411 0.2500
I1 0.0000 0.2498 0.2500
F1 0.0000 0.0627 0.7500
F2 0.2273 0.5000 0.0000
F3 0.2314 0.3785 0.5186
```

Main lines, sorted by position (2θ from 10° to 80°):
- 2θ 27.0, d 3.297, intensity 1000, hkl 1 5 1
- 2θ 29.0, d 3.083, intensity 205, hkl 2 0 0
- 2θ 29.4, d 3.039, intensity 197, hkl 0 0 2
- 2θ 41.7, d 2.165, intensity 279, hkl 2 0 2
- 2θ 46.3, d 1.962, intensity 97, hkl 2 10 0
- 2θ 46.6, d 1.950, intensity 95, hkl 0 10 2
- 2θ 50.2, d 1.818, intensity 192, hkl 3 5 1
- 2θ 50.7, d 1.800, intensity 184, hkl 1 5 3
- 2θ 55.8, d 1.648, intensity 85, hkl 2 10 2
- 2θ 67.5, d 1.388, intensity 86, hkl 3 5 3

***

(4)
SbS7IF6: calculated powder diffractogram (CuKα), based on a cell relaxed with PBE.
Lines closer than 0.1° are merged.

Atomic structure:
```
data_SbS7IF6
_cell_length_a 9.4223
_cell_length_b 12.2265
_cell_length_c 12.7736
_cell_angle_alpha 90.00
_cell_angle_beta 90.00
_cell_angle_gamma 90.00
_space_group_name_H-M_alt 'P 21 21 21'
_space_group_IT_number 19
loop_
_space_group_symop_operation_xyz
'x,y,z'
'-x+1/2,-y,z+1/2'
'x+1/2,-y+1/2,-z'
'-x,y+1/2,-z+1/2'
loop_
_atom_site_label
_atom_site_fract_x
_atom_site_fract_y
_atom_site_fract_z
Sb1 0.1789 0.1541 0.1141
S1 0.0436 0.4410 0.6791
S2 0.0935 0.1824 0.6169
S3 0.1539 0.3792 0.7890
S4 0.1837 0.2016 0.7538
S5 0.1925 0.3616 0.4348
S6 0.2174 0.4938 0.5407
S7 0.2433 0.7760 0.0037
I1 0.0712 0.5323 0.1358
F1 0.0018 0.2133 0.1616
F2 0.0779 0.0414 0.0386
F3 0.1456 0.9097 0.5701
F4 0.1757 0.2475 0.9934
F5 0.1780 0.0600 0.2374
F6 0.2203 0.7364 0.6924
```

Main lines, sorted by position (2θ from 10° to 80°):
- 2θ 16.1, d 5.514, intensity 579, hkl 0 2 1
- 2θ 16.8, d 5.287, intensity 1000, hkl 1 0 2
- 2θ 18.6, d 4.759, intensity 666, hkl 1 2 1
- 2θ 20.2, d 4.396, intensity 452, hkl 2 1 0
- 2θ 23.8, d 3.737, intensity 603, hkl 1 3 0
- 2θ 24.1, d 3.698, intensity 382, hkl 1 1 3
- 2θ 24.6, d 3.621, intensity 339, hkl 2 1 2
- 2θ 25.9, d 3.436, intensity 856, hkl 0 3 2
- 2θ 27.7, d 3.223, intensity 461, hkl 2 2 2
- 2θ 31.8, d 2.814, intensity 203, hkl 3 0 2